The following is a simulated XRD peak list of Zr4Os3Pd. It was derived from a PBE-relaxed structure, using Cu Kα.
No peak broadening, texture or thermal motion is included.

Largest 10 diffraction maxima, sorted by position, 10° ≤ 2θ ≤ 80°:
d [Å], I/Imax
3.326, 10.2
3.260, 4.8
2.352, 51.4
2.328, 100.0
1.907, 4.7
1.663, 17.7
1.630, 8.6
1.487, 2.2
1.353, 35.2
1.340, 17.1

abc: 3.2598 4.7072 9.3984
angles: 90.00 90.00 90.00
Space group Pmmm (No. 47)
Unique sites:
Zr1 0.0000 0.0000 0.0000 (multiplicity 1)
Zr2 0.0000 0.0000 0.5000 (multiplicity 1)
Zr3 0.0000 0.5000 0.2451 (multiplicity 2)
Os1 0.5000 0.0000 0.2490 (multiplicity 2)
Os2 0.5000 0.5000 0.0000 (multiplicity 1)
Pd1 0.5000 0.5000 0.5000 (multiplicity 1)

The following is a simulated XRD peak list of Ba5TbS6. It was derived from a PBE-relaxed structure, using Cu Kα.
No peak broadening, texture or thermal motion is included.

Largest 10 diffraction maxima, sorted by position, 10° ≤ 2θ ≤ 80°:
d [Å], I/Imax
3.628, 53.1
3.617, 17.5
3.139, 100.0
2.222, 36.3
2.218, 36.4
1.894, 22.6
1.891, 15.9
1.814, 18.8
1.403, 21.1
1.282, 15.3

abc: 7.7049 13.3221 7.6794
angles: 90.00 109.59 90.00
Space group C2/m (No. 12)
Unique sites:
Ba1 0.0000 0.0000 0.0000 (multiplicity 2)
Ba2 0.0000 0.1661 0.5000 (multiplicity 4)
Ba3 0.0000 0.3303 0.0000 (multiplicity 4)
Tb1 0.0000 0.5000 0.5000 (multiplicity 2)
S1 0.2250 0.5000 0.2669 (multiplicity 4)
S2 0.2290 0.3479 0.7310 (multiplicity 8)

The following is a simulated XRD peak list of LaTb3Ho8. It was derived from a PBE-relaxed structure, using Cu Kα.
No peak broadening, texture or thermal motion is included.

Largest 10 diffraction maxima, sorted by position, 10° ≤ 2θ ≤ 80°:
d [Å], I/Imax
3.663, 68.9
3.437, 60.5
3.061, 81.1
2.826, 74.7
2.701, 31.5
2.692, 28.6
2.464, 100.0
2.077, 54.1
2.022, 65.1
1.346, 30.6

abc: 8.6590 8.6590 11.3049
angles: 90.00 90.00 90.00
Space group I-42m (No. 121)
Unique sites:
La1 0.0000 0.0000 0.0000 (multiplicity 2)
Tb1 0.0000 0.0000 0.5000 (multiplicity 2)
Tb2 0.0000 0.5000 0.2500 (multiplicity 4)
Ho1 0.1258 0.1258 0.2533 (multiplicity 8)
Ho2 0.2470 0.2470 0.5062 (multiplicity 8)

The following is a simulated XRD peak list of ErAl3Fe2. It was derived from a PBE-relaxed structure, using Cu Kα.
No peak broadening, texture or thermal motion is included.

Largest 10 diffraction maxima, sorted by position, 10° ≤ 2θ ≤ 80°:
d [Å], I/Imax
6.121, 42.6
3.943, 95.2
3.190, 65.1
2.632, 100.0
2.599, 59.4
2.527, 86.3
2.328, 46.7
2.255, 72.7
1.880, 34.0
1.861, 42.3

abc: 9.3119 8.1214 5.1554
angles: 90.00 90.00 90.00
Space group Cmcm (No. 63)
Unique sites:
Er1 0.0000 0.1418 0.2500 (multiplicity 4)
Al1 0.0000 0.4774 0.7500 (multiplicity 4)
Al2 0.1870 0.2320 0.7500 (multiplicity 8)
Fe1 0.2260 0.5000 0.0000 (multiplicity 8)

The following is a simulated XRD peak list of HfZn11Re. It was derived from a PBE-relaxed structure, using Cu Kα.
No peak broadening, texture or thermal motion is included.

Largest 10 diffraction maxima, sorted by position, 10° ≤ 2θ ≤ 80°:
d [Å], I/Imax
6.482, 39.4
4.559, 33.1
3.235, 30.6
2.505, 55.6
2.289, 59.8
2.280, 69.4
2.200, 74.4
2.191, 100.0
2.178, 51.0
2.030, 61.4

abc: 5.2173 12.9638 6.3679
angles: 90.00 111.01 90.00
Space group C2/m (No. 12)
Unique sites:
Hf1 0.0000 0.0000 0.0000 (multiplicity 2)
Zn1 0.0000 0.5000 0.5000 (multiplicity 2)
Zn2 0.1072 0.3929 0.2109 (multiplicity 8)
Zn3 0.1586 0.1713 0.3536 (multiplicity 8)
Zn4 0.2500 0.2500 0.0000 (multiplicity 4)
Re1 0.0000 0.0000 0.5000 (multiplicity 2)

The following is a simulated XRD peak list of K2Be2PbF8. It was derived from a PBE-relaxed structure, using Cu Kα.
No peak broadening, texture or thermal motion is included.

Largest 10 diffraction maxima, sorted by position, 10° ≤ 2θ ≤ 80°:
d [Å], I/Imax
6.923, 60.5
4.661, 100.0
4.345, 63.8
3.518, 46.4
3.136, 86.6
2.762, 76.3
2.565, 50.9
2.172, 44.0
2.159, 66.7
2.073, 34.8

abc: 5.5233 5.5233 20.7698
angles: 90.00 90.00 120.00
Space group R-3m (No. 166, hexagonal axes)
Unique sites:
K1 0.0000 0.0000 0.2030 (multiplicity 6)
Be1 0.0000 0.0000 0.4017 (multiplicity 6)
Pb1 0.0000 0.0000 0.0000 (multiplicity 3)
F1 0.0000 0.0000 0.3273 (multiplicity 6)
F2 0.0227 0.5114 0.2397 (multiplicity 18)